Starting from a cell relaxed with GGA-PBE, the X-ray powder pattern of LiErTl2 was calculated for Cu Kα.
No peak broadening, texture or thermal motion is included.

Crystal structure
```
LiErTl2
1.0
0.000 3.664 3.664
3.664 0.000 3.664
3.664 3.664 0.000
Li Er Tl
1 1 2
Cartesian
0.000 0.000 0.000 Li
3.664 3.664 3.664 Er
1.832 1.832 1.832 Tl
5.496 5.496 5.496 Tl
```

The 8 most intense peaks (2θ = 10–90°), in order of falling intensity:
2θ (°)  d/Å  Rel. int.
34.6  2.591  100
62.1  1.496  38
24.3  3.664  20
21.0  4.230  19
49.8  1.832  18
83.4  1.159  17
73.0  1.295  12
40.8  2.209  10

---

Starting from a cell relaxed with GGA-PBE, the X-ray powder pattern of CaZrO3 was calculated for Cu Kα.
No peak broadening, texture or thermal motion is included.

Crystal structure
```
CaZrO3
1.0
4.160 0.000 0.000
0.000 4.160 0.000
0.000 0.000 4.160
Ca Zr O
1 1 3
Cartesian
0.000 0.000 0.000 Ca
2.080 2.080 2.080 Zr
0.000 2.080 2.080 O
2.080 0.000 2.080 O
2.080 2.080 0.000 O
```

The 8 most intense peaks (2θ = 10–90°), in order of falling intensity:
2θ (°)  d/Å  Rel. int.
30.4  2.942  100
43.5  2.080  43
21.4  4.160  41
54.0  1.698  38
63.2  1.471  24
87.8  1.112  19
49.0  1.860  16
71.7  1.316  16

---

Starting from a cell relaxed with GGA-PBE, the X-ray powder pattern of Y4CuTe8 was calculated for Cu Kα.
No peak broadening, texture or thermal motion is included.

Crystal structure
```
Y4CuTe8
1.0
11.223 0.000 0.000
0.000 6.102 0.000
-10.508 0.000 11.258
Y Cu Te
8 2 16
Cartesian
0.000 0.007 0.000 Y
-5.254 6.096 5.629 Y
-3.015 3.013 7.659 Y
2.239 3.090 2.030 Y
0.330 0.014 5.569 Y
-4.924 6.089 11.198 Y
2.532 3.039 7.761 Y
7.786 3.064 2.132 Y
3.451 1.847 4.952 Cu
-1.803 4.256 10.581 Cu
-0.628 3.023 0.910 Te
-5.882 3.080 6.539 Te
-2.489 1.520 4.808 Te
-7.743 4.582 10.437 Te
-7.687 1.559 10.469 Te
-2.433 4.543 4.840 Te
1.351 0.024 2.692 Te
-3.902 6.079 8.321 Te
1.141 3.038 4.946 Te
-4.113 3.064 10.575 Te
4.985 1.523 2.840 Te
-0.268 4.579 8.469 Te
-0.225 1.497 8.454 Te
5.029 4.605 2.825 Te
3.106 0.009 6.849 Te
8.360 6.094 1.220 Te
```

The 8 most intense peaks (2θ = 10–90°), in order of falling intensity:
2θ (°)  d/Å  Rel. int.
36.7  2.449  100
31.5  2.837  75
33.4  2.681  68
29.5  3.026  59
34.9  2.572  52
24.6  3.613  40
25.5  3.492  39
24.5  3.628  37